[1]
Structure and theoretical powder X-ray diffraction pattern of GdTmIn5 (a structure optimized by DFT (GGA-PBE); copper Kα).

Most intense lines, 15 to 90 degrees two-theta, by angle:
2theta	Rel. int.	h k l
19.0	11	1 0 0
21.7	7	1 0 1
28.3	9	1 0 2
34.3	100	1 1 2
38.6	37	2 0 0
42.4	13	0 0 4
55.7	13	2 2 0
58.6	19	2 0 4
67.1	28	3 1 2
72.4	19	2 2 4

Crystal structure
```
data_GdTmIn5
_chemical_formula_sum 'Gd1 Tm1 In5'
_space_group_name_H-M_alt 'P 4/m m m'
_space_group_IT_number 123
_space_group_name_Hall '-P 4 2'
_cell_length_a 4.670
_cell_length_b 4.670
_cell_length_c 8.532
_cell_angle_alpha 90.00
_cell_angle_beta 90.00
_cell_angle_gamma 90.00
loop_
_atom_site_label
_atom_site_type_symbol
_atom_site_fract_x
_atom_site_fract_y
_atom_site_fract_z
Gd1 Gd 0.000 0.000 0.000
Tm1 Tm 0.000 0.000 0.500
In1 In 0.000 0.500 0.267
In2 In 0.500 0.500 0.000
```

[2]
Structure and theoretical powder X-ray diffraction pattern of Pr2SmNi6Pt3 (a structure optimized by DFT (GGA-PBE); copper Kα).

Most intense lines, 15 to 90 degrees two-theta, by angle:
2theta	Rel. int.	h k l
20.7	20	0 0 6
34.4	16	0 1 8
34.7	61	1 1 0
40.8	100	1 1 6
42.2	14	0 0 12
43.7	17	0 1 11
44.1	19	2 0 5
66.3	24	3 0 6
73.3	17	2 2 0
88.4	14	2 2 12

Crystal structure
```
data_Pr2SmNi6Pt3
_chemical_formula_sum 'Pr6 Sm3 Ni18 Pt9'
_space_group_name_H-M_alt 'R -3 m'
_space_group_IT_number 166
_space_group_name_Hall '-R 3 2"'
_cell_length_a 5.1685
_cell_length_b 5.1685
_cell_length_c 25.6923
_cell_angle_alpha 90.00
_cell_angle_beta 90.00
_cell_angle_gamma 120.00
loop_
_atom_site_label
_atom_site_type_symbol
_atom_site_fract_x
_atom_site_fract_y
_atom_site_fract_z
Pr1 Pr 0.0000 0.0000 0.1378
Sm1 Sm 0.0000 0.0000 0.0000
Ni1 Ni 0.0026 0.5013 0.9176
Pt1 Pt 0.0000 0.0000 0.3327
Pt2 Pt 0.0000 0.0000 0.5000
```

[3]
Structure and theoretical powder X-ray diffraction pattern of Li4MgPb2Au (a structure optimized by DFT (GGA-PBE); copper Kα).

Most intense lines, 15 to 90 degrees two-theta, by angle:
2theta	Rel. int.	h k l
18.6	11	1 0 0
22.8	100	1 0 1
37.6	89	2 0 0
44.4	18	1 0 3
44.5	36	2 1 1
54.4	10	2 2 0
59.6	15	2 1 3
67.8	11	2 0 4
68.0	22	3 1 2
72.8	9	3 2 1

Crystal structure
```
data_Li4MgPb2Au
_chemical_formula_sum 'Li4 Mg1 Pb2 Au1'
_space_group_name_H-M_alt 'P -4 m 2'
_space_group_IT_number 115
_cell_length_a 4.773
_cell_length_b 4.773
_cell_length_c 6.779
_cell_angle_alpha 90.00
_cell_angle_beta 90.00
_cell_angle_gamma 90.00
loop_
_space_group_symop_operation_xyz
'x,y,z'
'y,-x,-z'
'-x,-y,z'
'-y,x,-z'
'-x,y,z'
'-y,-x,-z'
'x,-y,z'
'y,x,-z'
loop_
_atom_site_label
_atom_site_type_symbol
_atom_site_fract_x
_atom_site_fract_y
_atom_site_fract_z
Li1 Li 0.000 0.000 0.000
Li2 Li 0.000 0.500 0.217
Li3 Li 0.500 0.500 0.500
Mg1 Mg 0.000 0.000 0.500
Pb1 Pb 0.000 0.500 0.750
Au1 Au 0.500 0.500 0.000
```

[4]
Structure and theoretical powder X-ray diffraction pattern of TaP4S4Cl5 (a structure optimized by DFT (GGA-PBE); copper Kα).

Most intense lines, 15 to 90 degrees two-theta, by angle:
2theta	Rel. int.	h k l
15.3	100	0 1 -2
16.0	70	-1 1 1
16.6	35	1 0 1
18.5	53	1 0 -2
18.8	43	0 1 2
19.4	33	1 -1 2
20.5	43	1 1 -1
21.0	61	0 2 0
29.7	31	1 2 0
32.2	40	1 -2 4

Crystal structure
```
data_TaP4S4Cl5
_chemical_formula_sum 'Ta2 P8 S8 Cl10'
_space_group_name_H-M_alt 'P -1'
_space_group_IT_number 2
_cell_length_a 6.692
_cell_length_b 9.266
_cell_length_c 13.375
_cell_angle_alpha 100.35
_cell_angle_beta 92.82
_cell_angle_gamma 110.94
loop_
_space_group_symop_operation_xyz
'x,y,z'
'-x,-y,-z'
loop_
_atom_site_label
_atom_site_type_symbol
_atom_site_fract_x
_atom_site_fract_y
_atom_site_fract_z
Ta1 Ta 0.109 0.241 0.334
P1 P 0.178 0.060 0.749
P2 P 0.230 0.111 0.930
P3 P 0.344 0.427 0.836
P4 P 0.370 0.671 0.171
S1 S 0.113 0.255 0.718
S2 S 0.193 0.333 0.959
S3 S 0.430 0.796 0.050
S4 S 0.493 0.125 0.710
Cl1 Cl 0.100 0.712 0.794
Cl2 Cl 0.146 0.747 0.556
Cl3 Cl 0.246 0.119 0.442
Cl4 Cl 0.296 0.159 0.206
Cl5 Cl 0.354 0.495 0.386
```

[5]
Structure and theoretical powder X-ray diffraction pattern of CsSmPdSe3 (a structure optimized by DFT (GGA-PBE); copper Kα).

Most intense lines, 15 to 90 degrees two-theta, by angle:
2theta	Rel. int.	h k l
20.5	52	0 4 0
27.2	100	1 3 1
31.3	75	1 3 2
34.3	31	1 1 3
35.9	32	0 0 4
37.7	79	1 5 2
41.6	87	2 0 0
45.9	33	1 7 2
52.7	31	0 10 0
60.3	33	2 8 0

Crystal structure
```
data_CsSmPdSe3
_chemical_formula_sum 'Cs4 Sm4 Pd4 Se12'
_space_group_name_H-M_alt 'C m c m'
_space_group_IT_number 63
_space_group_name_Hall '-C 2c 2'
_cell_length_a 4.341
_cell_length_b 17.365
_cell_length_c 10.017
_cell_angle_alpha 90.00
_cell_angle_beta 90.00
_cell_angle_gamma 90.00
loop_
_atom_site_label
_atom_site_type_symbol
_atom_site_fract_x
_atom_site_fract_y
_atom_site_fract_z
Cs1 Cs 0.000 0.247 0.250
Sm1 Sm 0.000 0.000 0.000
Pd1 Pd 0.000 0.498 0.250
Se1 Se 0.000 0.088 0.750
Se2 Se 0.000 0.395 0.584
```

[6]
Structure and theoretical powder X-ray diffraction pattern of Y2Ho3Er2Ni2Te2 (a structure optimized by DFT (GGA-PBE); copper Kα).

Most intense lines, 15 to 90 degrees two-theta, by angle:
2theta	Rel. int.	h k l
25.0	23	1 0 1
30.2	29	0 5 1
30.4	49	1 1 2
33.0	78	0 3 3
34.1	100	1 4 1
34.6	87	0 6 0
36.6	20	1 0 3
38.5	22	1 2 3
47.3	30	2 0 0
58.9	36	2 3 3

Crystal structure
```
data_Y2Ho3Er2Ni2Te2
_chemical_formula_sum 'Y4 Ho6 Er4 Ni4 Te4'
_space_group_name_H-M_alt 'I m m 2'
_space_group_IT_number 44
_cell_length_a 3.844
_cell_length_b 15.588
_cell_length_c 9.556
_cell_angle_alpha 90.00
_cell_angle_beta 90.00
_cell_angle_gamma 90.00
loop_
_space_group_symop_operation_xyz
'x,y,z'
'-x,-y,z'
'-x,y,z'
'x,-y,z'
'x+1/2,y+1/2,z+1/2'
'-x+1/2,-y+1/2,z+1/2'
'-x+1/2,y+1/2,z+1/2'
'x+1/2,-y+1/2,z+1/2'
loop_
_atom_site_label
_atom_site_type_symbol
_atom_site_fract_x
_atom_site_fract_y
_atom_site_fract_z
Y1 Y 0.000 0.146 0.000
Ho1 Ho 0.000 0.368 0.150
Ho2 Ho 0.000 0.500 0.732
Er1 Er 0.000 0.185 0.351
Ni1 Ni 0.000 0.261 0.660
Te1 Te 0.000 0.000 0.496
Te2 Te 0.000 0.500 0.396
```